Theoretical XRD peak list of V3Pd for λ = 1.5418 Å (Cu Kα), from a GGA-PBE-relaxed structure.
No peak broadening, texture or thermal motion is included.

The 6 most intense peaks (2θ from 5° to 70°), in order of rising 2θ:
| index | 2θ (°) | intensity |
| --- | --- | --- |
| 1 1 0 | 26.17 | 31.7 |
| 2 0 0 | 37.34 | 46.7 |
| 2 1 0 | 41.94 | 52.4 |
| 2 1 1 | 46.17 | 100.0 |
| 2 2 0 | 53.84 | 4.6 |
| 3 1 0 | 60.81 | 6.5 |

Atomic structure:
```
V3Pd
1.0
4.817 0.000 0.000
0.000 4.817 0.000
0.000 0.000 4.817
V Pd
6 2
Cartesian
0.000 1.204 2.408 V
0.000 3.612 2.408 V
1.204 2.408 0.000 V
2.408 0.000 1.204 V
2.408 0.000 3.612 V
3.612 2.408 0.000 V
0.000 0.000 0.000 Pd
2.408 2.408 2.408 Pd
```